The following is a computed PXRD pattern of HfAlGaIr. It was derived from the GGA-PBE geometry in OQMD, using Cu Kα.

a = 4.473 Å, b = 4.473 Å, c = 6.561 Å
α = 90.00°, β = 90.00°, γ = 90.00°
Atoms (fractional coordinates):
Hf 0.000 0.000 0.000
Hf 0.500 0.500 0.500
Al 0.000 0.000 0.500
Al 0.500 0.500 0.000
Ga 0.000 0.500 0.750
Ga 0.500 0.000 0.250
Ir 0.000 0.500 0.250
Ir 0.500 0.000 0.750

Peak list (10 most intense, 2θ from 15° to 90°, sorted by position)
2θ = 24.1°, 3.696 Å, rel. 58, (1 0 1)
2θ = 39.6°, 2.277 Å, rel. 100, (1 1 2)
2θ = 40.3°, 2.237 Å, rel. 47, (2 0 0)
2θ = 46.2°, 1.965 Å, rel. 11, (1 0 3)
2θ = 47.5°, 1.913 Å, rel. 20, (2 1 1)
2θ = 56.1°, 1.640 Å, rel. 9, (0 0 4)
2θ = 58.3°, 1.582 Å, rel. 16, (2 2 0)
2θ = 71.3°, 1.323 Å, rel. 18, (2 0 4)
2θ = 72.8°, 1.299 Å, rel. 33, (3 1 2)
2θ = 85.2°, 1.138 Å, rel. 11, (2 2 4)